Entry 1:
Computed powder XRD pattern
Compound: K2PdPtSe4
Radiation: Cu Kα
Structure: DFT lattice parameters and positions (GGA-PBE)
Intensities are scaled so that the largest is 100.

abc: 5.941 13.209 22.189
angles: 90.00 90.00 90.00
Space group Fddd (No. 70, origin choice 2)
Inequivalent atoms, fractional coordinates:
K  0.125  0.125  0.314 [16 per cell]
Pd  0.125  0.125  0.625 [8 per cell]
Pt  0.125  0.125  0.125 [8 per cell]
Se  0.124  0.275  0.808 [32 per cell]

Largest 10 diffraction maxima, sorted by position, 2θ = 5–70°:
hkl 0 2 2, 2θ 15.6, I = 100; hkl 0 0 4, 2θ 16.0, I = 36; hkl 0 2 6, 2θ 27.6, I = 21; hkl 1 3 3, 2θ 28.0, I = 22; hkl 0 4 4, 2θ 31.5, I = 22; hkl 1 3 5, 2θ 32.4, I = 34; hkl 2 2 4, 2θ 36.9, I = 26; hkl 2 0 6, 2θ 38.9, I = 43; hkl 2 4 2, 2θ 41.7, I = 32; hkl 0 4 8, 2θ 42.6, I = 22


Entry 2:
Computed powder XRD pattern
Compound: Be17CoTc
Radiation: Cu Kα
Structure: DFT lattice parameters and positions (GGA-PBE)
Intensities are scaled so that the largest is 100.

abc: 7.1792 7.1792 10.5209
angles: 90.00 90.00 120.00
Space group R3m (No. 160, hexagonal axes)
Inequivalent atoms, fractional coordinates:
Be  0.0000  0.0000  0.0517 [3 per cell]
Be  0.0000  0.0000  0.2585 [3 per cell]
Be  0.0041  0.3081  0.1529 [18 per cell]
Be  0.0068  0.5034  0.6498 [9 per cell]
Be  0.0107  0.5053  0.3076 [9 per cell]
Be  0.1689  0.3379  0.3333 [9 per cell]
Co  0.0000  0.0000  0.4964 [3 per cell]
Tc  0.0000  0.0000  0.8133 [3 per cell]

Largest 10 diffraction maxima, sorted by position, 2θ = 5–70°:
hkl 1 0 1, 2θ 16.6, I = 92; hkl 0 1 2, 2θ 22.1, I = 33; hkl 1 1 0, 2θ 24.8, I = 100; hkl 0 0 3, 2θ 25.4, I = 32; hkl 0 2 1, 2θ 30.0, I = 26; hkl 1 1 3, 2θ 35.8, I = 100; hkl 3 0 0, 2θ 43.7, I = 41; hkl 2 2 0, 2θ 50.9, I = 32; hkl 0 3 3, 2θ 51.2, I = 59; hkl 0 0 6, 2θ 52.2, I = 32


Entry 3:
Computed powder XRD pattern
Compound: Tb2Pt
Radiation: Cu Kα
Structure: DFT lattice parameters and positions (GGA-PBE)
Intensities are scaled so that the largest is 100.

abc: 7.191 4.789 8.856
angles: 90.00 90.00 90.00
Space group Pnma (No. 62)
Inequivalent atoms, fractional coordinates:
Tb  0.008  0.250  0.167 [4 per cell]
Tb  0.144  0.250  0.582 [4 per cell]
Pt  0.241  0.250  0.908 [4 per cell]

Largest 10 diffraction maxima, sorted by position, 2θ = 5–70°:
hkl 1 1 2, 2θ 30.2, I = 69; hkl 2 1 0, 2θ 31.1, I = 26; hkl 2 0 2, 2θ 32.1, I = 20; hkl 2 1 1, 2θ 32.8, I = 100; hkl 0 1 3, 2θ 35.7, I = 60; hkl 0 2 0, 2θ 37.6, I = 56; hkl 3 0 2, 2θ 42.9, I = 21; hkl 3 1 1, 2θ 43.4, I = 24; hkl 2 1 3, 2θ 44.0, I = 28; hkl 2 0 6, 2θ 68.8, I = 20


Entry 4:
Computed powder XRD pattern
Compound: TlPCl3
Radiation: Cu Kα
Structure: DFT lattice parameters and positions (GGA-PBE)
Intensities are scaled so that the largest is 100.

abc: 24.260 11.781 5.038
angles: 90.00 90.10 90.00
Space group P2_1/c (No. 14)
Inequivalent atoms, fractional coordinates:
Tl  0.050  0.116  0.250 [4 per cell]
Tl  0.450  0.616  0.249 [4 per cell]
P  0.218  0.740  0.176 [4 per cell]
P  0.282  0.240  0.175 [4 per cell]
Cl  0.014  0.623  0.750 [4 per cell]
Cl  0.152  0.631  0.175 [4 per cell]
Cl  0.215  0.130  0.174 [4 per cell]
Cl  0.285  0.630  0.176 [4 per cell]
Cl  0.348  0.131  0.176 [4 per cell]
Cl  0.486  0.123  0.750 [4 per cell]

Largest 10 diffraction maxima, sorted by position, 2θ = 5–70°:
hkl 2 0 0, 2θ 7.3, I = 100; hkl 4 0 0, 2θ 14.6, I = 23; hkl 4 1 0, 2θ 16.4, I = 49; hkl 0 2 1, 2θ 23.2, I = 81; hkl 4 1 1, 2θ 24.2, I = 48; hkl 6 1 1, 2θ 29.3, I = 46; hkl 0 4 0, 2θ 30.4, I = 23; hkl 6 3 0, 2θ 31.8, I = 22; hkl 8 2 1, 2θ 37.8, I = 24; hkl 10 2 -1, 2θ 44.2, I = 23


Entry 5:
Computed powder XRD pattern
Compound: SrPmSn6
Radiation: Cu Kα
Structure: DFT lattice parameters and positions (GGA-PBE)
Intensities are scaled so that the largest is 100.

abc: 4.775 4.775 9.774
angles: 90.00 90.00 90.00
Space group P4/mmm (No. 123)
Inequivalent atoms, fractional coordinates:
Sr  0.000  0.000  0.000 [1 per cell]
Pm  0.000  0.000  0.500 [1 per cell]
Sn  0.000  0.500  0.254 [4 per cell]
Sn  0.500  0.500  0.000 [1 per cell]
Sn  0.500  0.500  0.500 [1 per cell]

Largest 10 diffraction maxima, sorted by position, 2θ = 5–70°:
hkl 0 0 1, 2θ 9.0, I = 2; hkl 1 0 1, 2θ 20.7, I = 1; hkl 1 1 2, 2θ 32.2, I = 100; hkl 0 0 4, 2θ 36.8, I = 18; hkl 2 0 0, 2θ 37.7, I = 33; hkl 2 0 4, 2θ 53.7, I = 24; hkl 2 2 0, 2θ 54.3, I = 12; hkl 1 1 6, 2θ 63.4, I = 15; hkl 3 1 2, 2θ 64.6, I = 28; hkl 2 2 4, 2θ 67.4, I = 12


Entry 6:
Computed powder XRD pattern
Compound: CsGa3Sb3
Radiation: Cu Kα
Structure: DFT lattice parameters and positions (GGA-PBE)
Intensities are scaled so that the largest is 100.

abc: 7.768 7.768 7.768
angles: 90.00 90.00 90.00
Space group Pm-3n (No. 223)
Inequivalent atoms, fractional coordinates:
Cs  0.000  0.000  0.000 [2 per cell]
Ga  0.000  0.250  0.500 [6 per cell]
Sb  0.000  0.500  0.250 [6 per cell]

Largest 10 diffraction maxima, sorted by position, 2θ = 5–70°:
hkl 2 0 0, 2θ 22.9, I = 42; hkl 2 1 0, 2θ 25.6, I = 11; hkl 2 1 1, 2θ 28.1, I = 100; hkl 2 2 2, 2θ 40.2, I = 25; hkl 3 2 1, 2θ 43.6, I = 60; hkl 4 0 0, 2θ 46.8, I = 30; hkl 4 2 0, 2θ 52.7, I = 17; hkl 3 3 2, 2θ 55.5, I = 15; hkl 5 2 1, 2θ 65.9, I = 17; hkl 4 4 0, 2θ 68.3, I = 19